1.
AgPd5Au: computed powder diffractogram (Cu Kα (weighted mean of Kα1 and Kα2)), based on a structure optimized by DFT (PBE).

Top 10 peaks for 2θ = 10–80°, by intensity:
2θ (°)	d_spacing	intensity
39.59	2.277	100.0
46.73	1.944	30.9
66.60	1.404	21.0
25.40	3.507	17.8
44.62	2.031	17.7
19.49	4.556	15.3
78.80	1.215	13.0
38.26	2.352	5.8
40.60	2.222	5.3
68.18	1.375	4.9

Crystal structure
```
AgPd5Au
1.0
2.751 -4.062 0.000
2.751 4.062 0.000
0.000 0.000 5.493
Ag Pd Au
1 5 1
Cartesian
0.000 0.000 0.000
1.375 2.031 1.393
1.375 2.031 4.100
1.375 -2.031 1.393
1.375 -2.031 4.100
2.751 0.000 0.000
2.751 0.000 2.747
```

***

2.
LiDyGaPt2: computed powder diffractogram (Cu Kα (weighted mean of Kα1 and Kα2)), based on a structure optimized by DFT (PBE).

Top 10 peaks for 2θ = 10–80°, by intensity:
2θ (°)	d_spacing	intensity
42.90	2.108	100.0
31.77	2.817	93.4
33.61	2.666	73.6
66.54	1.405	55.0
36.55	2.459	54.9
48.27	1.885	48.3
24.63	3.615	35.1
13.93	6.357	34.9
58.95	1.567	32.5
44.35	2.043	23.3

Crystal structure
```
LiDyGaPt2
1.0
-1.885 1.885 6.357
1.885 -1.885 6.357
1.885 1.885 -6.357
Li Dy Ga Pt
1 1 1 2
Cartesian
0.000 0.000 0.000
1.885 0.000 3.178
0.000 0.000 6.357
0.000 1.885 1.797
0.000 1.885 4.560
```

***

3.
AcHoZnHg: computed powder diffractogram (Cu Kα (weighted mean of Kα1 and Kα2)), based on a structure optimized by DFT (PBE).

Top 10 peaks for 2θ = 10–80°, by intensity:
2θ (°)	d_spacing	intensity
33.15	2.702	100.0
33.78	2.654	53.0
60.03	1.541	37.0
48.52	1.876	19.4
26.36	3.381	18.2
58.83	1.570	14.0
69.59	1.351	8.5
49.10	1.856	8.1
46.66	1.947	7.0
71.05	1.327	6.3

Crystal structure
```
AcHoZnHg
1.0
3.753 0.000 0.000
0.000 3.753 0.000
0.000 0.000 7.787
Ac Ho Zn Hg
1 1 1 1
Cartesian
0.000 0.000 0.000
0.000 0.000 3.676
1.876 1.876 2.113
1.876 1.876 5.427
```

***

4.
Pa2As2Pd: computed powder diffractogram (Cu Kα (weighted mean of Kα1 and Kα2)), based on a structure optimized by DFT (PBE).

Top 10 peaks for 2θ = 10–80°, by intensity:
2θ (°)	d_spacing	intensity
28.50	3.132	100.0
26.98	3.305	66.4
35.34	2.540	65.8
42.33	2.135	58.9
42.44	2.130	58.3
30.71	2.912	53.0
27.67	3.224	41.5
44.18	2.050	39.3
54.76	1.676	21.5
46.81	1.941	16.7

Crystal structure
```
Pa2As2Pd
1.0
5.823 0.000 0.000
0.000 4.100 0.000
-2.874 0.000 9.705
Pa As Pd
4 4 2
Cartesian
-0.095 1.025 1.737
-0.010 1.025 5.872
2.959 3.075 3.833
3.045 3.075 7.968
0.064 3.075 3.815
0.186 3.075 7.895
2.764 1.025 1.810
2.886 1.025 5.890
-1.134 1.025 9.095
4.084 3.075 0.610
```

***

What did the first record say?
AgPd5Au: computed powder diffractogram (Cu Kα (weighted mean of Kα1 and Kα2)), based on a structure optimized by DFT (PBE).

Top 10 peaks for 2θ = 10–80°, by intensity:
2θ (°)	d_spacing	intensity
39.59	2.277	100.0
46.73	1.944	30.9
66.60	1.404	21.0
25.40	3.507	17.8
44.62	2.031	17.7
19.49	4.556	15.3
78.80	1.215	13.0
38.26	2.352	5.8
40.60	2.222	5.3
68.18	1.375	4.9

Crystal structure
```
AgPd5Au
1.0
2.751 -4.062 0.000
2.751 4.062 0.000
0.000 0.000 5.493
Ag Pd Au
1 5 1
Cartesian
0.000 0.000 0.000
1.375 2.031 1.393
1.375 2.031 4.100
1.375 -2.031 1.393
1.375 -2.031 4.100
2.751 0.000 0.000
2.751 0.000 2.747
```

***

What did the third record say?
AcHoZnHg: computed powder diffractogram (Cu Kα (weighted mean of Kα1 and Kα2)), based on a structure optimized by DFT (PBE).

Top 10 peaks for 2θ = 10–80°, by intensity:
2θ (°)	d_spacing	intensity
33.15	2.702	100.0
33.78	2.654	53.0
60.03	1.541	37.0
48.52	1.876	19.4
26.36	3.381	18.2
58.83	1.570	14.0
69.59	1.351	8.5
49.10	1.856	8.1
46.66	1.947	7.0
71.05	1.327	6.3

Crystal structure
```
AcHoZnHg
1.0
3.753 0.000 0.000
0.000 3.753 0.000
0.000 0.000 7.787
Ac Ho Zn Hg
1 1 1 1
Cartesian
0.000 0.000 0.000
0.000 0.000 3.676
1.876 1.876 2.113
1.876 1.876 5.427
```

***

- What is the formula in the second record?
  LiDyGaPt2